# Pm7NdSn4
Theoretical XRD peak list, λ = 1.5418 Å (Cu Kα). Input: a cell relaxed with GGA-PBE.
Lines closer than 0.1° are merged.

Crystal structure
abc: 7.6577 7.6577 11.1776
angles: 121.76 121.76 45.01
Sites, in units of the cell vectors:
Pm: 0.0000 0.0000 0.0000
Pm: 0.1829 0.1829 0.6080
Pm: 0.2898 0.2898 0.1143
Pm: 0.4416 0.4416 0.6268
Pm: 0.5584 0.5584 0.3732
Pm: 0.7102 0.7102 0.8857
Pm: 0.8171 0.8171 0.3920
Nd: 0.5000 0.5000 0.0000
Sn: 0.0659 0.0659 0.7669
Sn: 0.1972 0.1972 0.3271
Sn: 0.8028 0.8028 0.6729
Sn: 0.9341 0.9341 0.2331

The 6 most intense peaks (10° ≤ 2θ ≤ 90°), low angle first:
Position (°2θ)  intensity
27.78  66.4
28.96  38.1
29.13  46.7
30.50  100.0
33.47  80.2
41.72  45.9

# Pm2NdSn4
Theoretical XRD peak list, λ = 1.5418 Å (Cu Kα). Input: a cell relaxed with GGA-PBE.
Lines closer than 0.1° are merged.

Crystal structure
abc: 8.1588 8.1588 8.1588
angles: 111.02 111.02 106.42
Sites, in units of the cell vectors:
Pm: 0.0047 0.1250 0.3797
Pm: 0.3750 0.9953 0.1203
Pm: 0.7453 0.6250 0.6203
Pm: 0.8750 0.2547 0.8797
Nd: 0.2500 0.7500 0.5000
Nd: 0.5000 0.5000 0.0000
Sn: 0.1112 0.0335 0.7452
Sn: 0.1160 0.5383 0.7548
Sn: 0.2883 0.3660 0.2548
Sn: 0.4617 0.2165 0.5777
Sn: 0.6340 0.8888 0.9223
Sn: 0.6388 0.8840 0.4223
Sn: 0.7835 0.3612 0.2452
Sn: 0.9665 0.7117 0.0777

The 6 most intense peaks (10° ≤ 2θ ≤ 90°), low angle first:
Position (°2θ)  intensity
29.07  100.0
30.43  86.7
30.59  80.9
35.08  72.4
35.81  77.6
36.24  74.3

# Pm6Nd12Sn
Theoretical XRD peak list, λ = 1.5418 Å (Cu Kα). Input: a cell relaxed with GGA-PBE.
Lines closer than 0.1° are merged.

Crystal structure
abc: 8.7081 8.7081 8.7081
angles: 88.51 88.51 88.51
Sites, in units of the cell vectors:
Pm: 0.2043 0.7557 0.5956
Pm: 0.2443 0.4044 0.7957
Pm: 0.4044 0.7957 0.2443
Pm: 0.5956 0.2043 0.7557
Pm: 0.7557 0.5956 0.2043
Pm: 0.7957 0.2443 0.4044
Nd: 0.0380 0.9313 0.2822
Nd: 0.0687 0.7178 0.9620
Nd: 0.1408 0.4851 0.3158
Nd: 0.2822 0.0380 0.9313
Nd: 0.3158 0.1408 0.4851
Nd: 0.4851 0.3158 0.1408
Nd: 0.5149 0.6842 0.8592
Nd: 0.6842 0.8592 0.5149
Nd: 0.7178 0.9620 0.0687
Nd: 0.8592 0.5149 0.6842
Nd: 0.9313 0.2822 0.0380
Nd: 0.9620 0.0687 0.7178
Sn: 0.5000 0.5000 0.5000

The 6 most intense peaks (10° ≤ 2θ ≤ 90°), low angle first:
Position (°2θ)  intensity
30.11  41.5
30.82  26.9
31.18  100.0
32.28  70.5
32.79  29.4
34.25  19.7

# Pm5Nd2Sn5
Theoretical XRD peak list, λ = 1.5418 Å (Cu Kα). Input: a cell relaxed with GGA-PBE.
Lines closer than 0.1° are merged.

Crystal structure
abc: 7.7474 7.7474 13.0607
angles: 106.91 106.91 33.47
Sites, in units of the cell vectors:
Pm: 0.0000 0.0000 0.0000
Pm: 0.1585 0.1585 0.5421
Pm: 0.2305 0.2305 0.8480
Pm: 0.7695 0.7695 0.1520
Pm: 0.8415 0.8415 0.4579
Nd: 0.4513 0.4513 0.7170
Nd: 0.5487 0.5487 0.2830
Sn: 0.2036 0.2036 0.3000
Sn: 0.3823 0.3823 0.0708
Sn: 0.5000 0.5000 0.5000
Sn: 0.6177 0.6177 0.9292
Sn: 0.7964 0.7964 0.7000

The 6 most intense peaks (10° ≤ 2θ ≤ 90°), low angle first:
Position (°2θ)  intensity
27.56  87.9
28.06  65.0
28.27  84.4
29.91  66.0
31.28  70.1
40.42  100.0

# TbPm2Nd6
Theoretical XRD peak list, λ = 1.5418 Å (Cu Kα). Input: a cell relaxed with GGA-PBE.
Lines closer than 0.1° are merged.

Crystal structure
abc: 10.2586 10.2586 6.2829
angles: 95.06 95.06 70.89
Sites, in units of the cell vectors:
Tb: 0.0992 0.9008 0.7500
Tb: 0.9008 0.0992 0.2500
Pm: 0.2326 0.4327 0.9191
Pm: 0.4327 0.2326 0.4191
Pm: 0.5673 0.7674 0.5809
Pm: 0.7674 0.5673 0.0809
Nd: 0.0228 0.7431 0.1803
Nd: 0.0744 0.3507 0.3492
Nd: 0.2569 0.9772 0.3197
Nd: 0.3120 0.5923 0.4862
Nd: 0.3507 0.0744 0.8492
Nd: 0.4077 0.6880 0.0138
Nd: 0.5923 0.3120 0.9862
Nd: 0.6493 0.9256 0.1508
Nd: 0.6880 0.4077 0.5138
Nd: 0.7431 0.0228 0.6803
Nd: 0.9256 0.6493 0.6508
Nd: 0.9772 0.2569 0.8197

The 6 most intense peaks (10° ≤ 2θ ≤ 90°), low angle first:
Position (°2θ)  intensity
29.50  57.3
30.03  100.0
31.00  93.2
36.56  30.2
36.99  26.9
53.93  20.5

# TbPm12Nd5
Theoretical XRD peak list, λ = 1.5418 Å (Cu Kα). Input: a cell relaxed with GGA-PBE.
Lines closer than 0.1° are merged.

Crystal structure
abc: 10.5998 10.5998 5.9099
angles: 90.02 90.02 110.82
Sites, in units of the cell vectors:
Tb: 0.0000 0.0000 0.0000
Pm: 0.0254 0.6679 0.9921
Pm: 0.1679 0.5263 0.5081
Pm: 0.1983 0.1983 0.4530
Pm: 0.2988 0.2988 0.9522
Pm: 0.3321 0.9746 0.0079
Pm: 0.4737 0.8321 0.4919
Pm: 0.5263 0.1679 0.5081
Pm: 0.6679 0.0254 0.9921
Pm: 0.7012 0.7012 0.0478
Pm: 0.8017 0.8017 0.5470
Pm: 0.8321 0.4737 0.4919
Pm: 0.9746 0.3321 0.0079
Nd: 0.1364 0.8636 0.5000
Nd: 0.3621 0.6379 0.0000
Nd: 0.5000 0.5000 0.5000
Nd: 0.6379 0.3621 0.0000
Nd: 0.8636 0.1364 0.5000

The 6 most intense peaks (10° ≤ 2θ ≤ 90°), low angle first:
Position (°2θ)  intensity
30.25  31.0
30.71  36.8
31.02  100.0
43.67  15.4
54.22  18.0
54.83  9.8

# TbPm6Nd4
Theoretical XRD peak list, λ = 1.5418 Å (Cu Kα). Input: a cell relaxed with GGA-PBE.
Lines closer than 0.1° are merged.

Crystal structure
abc: 9.8282 9.8282 9.8282
angles: 139.81 139.81 58.15
Sites, in units of the cell vectors:
Tb: 0.0000 0.0000 0.0000
Pm: 0.0000 0.5000 0.5000
Pm: 0.1993 0.1993 0.6478
Pm: 0.4485 0.8007 0.0000
Pm: 0.5000 0.0000 0.5000
Pm: 0.5515 0.5515 0.3522
Pm: 0.8007 0.4485 0.0000
Nd: 0.0127 0.6338 0.0000
Nd: 0.3662 0.3662 0.3790
Nd: 0.6338 0.0127 0.0000
Nd: 0.9873 0.9873 0.6210

The 6 most intense peaks (10° ≤ 2θ ≤ 90°), low angle first:
Position (°2θ)  intensity
27.94  43.1
28.40  65.7
29.16  31.7
30.04  100.0
33.76  70.8
39.73  32.2

# Tb5PmNd4
Theoretical XRD peak list, λ = 1.5418 Å (Cu Kα). Input: a cell relaxed with GGA-PBE.
Lines closer than 0.1° are merged.

Crystal structure
abc: 10.7309 10.7309 5.8365
angles: 90.00 90.00 90.00
Sites, in units of the cell vectors:
Tb: 0.0872 0.0872 0.1659
Tb: 0.0872 0.4128 0.1659
Tb: 0.2500 0.7500 0.0000
Tb: 0.4128 0.0872 0.1659
Tb: 0.4128 0.4128 0.1659
Tb: 0.5872 0.5872 0.8341
Tb: 0.5872 0.9128 0.8341
Tb: 0.7500 0.2500 0.0000
Tb: 0.9128 0.5872 0.8341
Tb: 0.9128 0.9128 0.8341
Pm: 0.2500 0.2500 0.6208
Pm: 0.7500 0.7500 0.3792
Nd: 0.0435 0.7500 0.3667
Nd: 0.2500 0.5435 0.6333
Nd: 0.2500 0.9565 0.6333
Nd: 0.4565 0.7500 0.3667
Nd: 0.5435 0.2500 0.6333
Nd: 0.7500 0.0435 0.3667
Nd: 0.7500 0.4565 0.3667
Nd: 0.9565 0.2500 0.6333

The 6 most intense peaks (10° ≤ 2θ ≤ 90°), low angle first:
Position (°2θ)  intensity
28.05  21.7
29.28  100.0
30.47  47.0
31.78  32.4
35.49  31.5
52.96  28.3

# Tb3Pm5Nd
Theoretical XRD peak list, λ = 1.5418 Å (Cu Kα). Input: a cell relaxed with GGA-PBE.
Lines closer than 0.1° are merged.

Crystal structure
abc: 10.0445 10.0445 7.3112
angles: 90.00 90.00 55.90
Sites, in units of the cell vectors:
Tb: 0.0000 0.0000 0.0000
Tb: 0.0000 0.0000 0.5000
Tb: 0.1792 0.1788 0.2500
Tb: 0.1788 0.1792 0.7500
Tb: 0.8212 0.8208 0.2500
Tb: 0.8208 0.8212 0.7500
Pm: 0.1588 0.5119 0.0006
Pm: 0.1588 0.5119 0.4994
Pm: 0.3314 0.6686 0.7500
Pm: 0.4881 0.8412 0.0006
Pm: 0.4881 0.8412 0.4994
Pm: 0.5119 0.1588 0.5006
Pm: 0.5119 0.1588 0.9994
Pm: 0.6686 0.3314 0.2500
Pm: 0.8412 0.4881 0.5006
Pm: 0.8412 0.4881 0.9994
Nd: 0.3041 0.6959 0.2500
Nd: 0.6959 0.3041 0.7500

The 6 most intense peaks (10° ≤ 2θ ≤ 90°), low angle first:
Position (°2θ)  intensity
28.89  36.1
30.25  100.0
32.61  36.3
37.15  18.4
38.28  21.0
57.18  18.2

# TbPm3Nd8
Theoretical XRD peak list, λ = 1.5418 Å (Cu Kα). Input: a cell relaxed with GGA-PBE.
Lines closer than 0.1° are merged.

Crystal structure
abc: 9.0963 9.0963 6.4948
angles: 110.82 110.82 58.63
Sites, in units of the cell vectors:
Tb: 0.0000 0.0000 0.0000
Pm: 0.2012 0.5472 0.8604
Pm: 0.3839 0.6161 0.5000
Pm: 0.4528 0.7988 0.1396
Nd: 0.1771 0.0741 0.6129
Nd: 0.1818 0.3140 0.1496
Nd: 0.5146 0.1430 0.5668
Nd: 0.6167 0.2446 0.1731
Nd: 0.6860 0.8182 0.8504
Nd: 0.7554 0.3833 0.8269
Nd: 0.8570 0.4854 0.4332
Nd: 0.9259 0.8229 0.3871

The 6 most intense peaks (10° ≤ 2θ ≤ 90°), low angle first:
Position (°2θ)  intensity
25.01  10.4
29.96  100.0
30.58  29.9
30.74  25.3
34.17  17.9
39.62  10.9

# Tb2PmNd4
Theoretical XRD peak list, λ = 1.5418 Å (Cu Kα). Input: a cell relaxed with GGA-PBE.
Lines closer than 0.1° are merged.

Crystal structure
abc: 7.0364 10.4796 7.0990
angles: 90.00 107.97 90.00
Sites, in units of the cell vectors:
Tb: 0.0000 0.0000 0.0000
Tb: 0.0000 0.0000 0.5000
Tb: 0.0000 0.5000 0.0000
Tb: 0.5000 0.0000 0.0000
Pm: 0.5000 0.5000 0.0000
Pm: 0.5000 0.5000 0.5000
Nd: 0.1908 0.2835 0.7327
Nd: 0.1908 0.7165 0.7327
Nd: 0.3083 0.2123 0.2698
Nd: 0.3083 0.7877 0.2698
Nd: 0.6917 0.2123 0.7302
Nd: 0.6917 0.7877 0.7302
Nd: 0.8092 0.2835 0.2673
Nd: 0.8092 0.7165 0.2673

The 6 most intense peaks (10° ≤ 2θ ≤ 90°), low angle first:
Position (°2θ)  intensity
29.98  31.0
31.02  23.6
31.29  50.9
31.52  100.0
31.73  75.2
34.24  33.1

# Tb2PmNd
Theoretical XRD peak list, λ = 1.5418 Å (Cu Kα). Input: a cell relaxed with GGA-PBE.
Lines closer than 0.1° are merged.

Crystal structure
abc: 3.6151 3.6151 10.2084
angles: 90.00 90.00 90.00
Sites, in units of the cell vectors:
Tb: 0.0000 0.0000 0.2489
Tb: 0.0000 0.0000 0.7511
Pm: 0.5000 0.5000 0.0000
Nd: 0.5000 0.5000 0.5000

The 6 most intense peaks (10° ≤ 2θ ≤ 90°), low angle first:
Position (°2θ)  intensity
30.30  100.0
35.12  50.7
50.52  36.2
60.05  43.1
63.02  12.4
82.24  17.7

Number 8 is which compound? Tb5PmNd4